# 1
Starting from a crystal structure in Alexandria, relaxed with PBE, the PXRD pattern of Sr2DyAs3Pt12 was computed for λ = 1.5418 Å (Cu Kα).

Peak list (8 most intense, 10 to 90 degrees two-theta, by angle)
| 2θ/deg | d/Å | I (rel.) |
| --- | --- | --- |
| 22.66 | 3.924 | 23 |
| 30.96 | 2.889 | 100 |
| 33.50 | 2.675 | 20 |
| 42.36 | 2.134 | 81 |
| 46.27 | 1.962 | 56 |
| 53.38 | 1.716 | 18 |
| 64.52 | 1.444 | 19 |
| 80.26 | 1.196 | 20 |

Structure:
```
Sr2DyAs3Pt12
1.0
4.2678 2.4640 6.1739
-4.2678 2.4640 6.1739
0.0000 -4.9281 6.1739
Sr Dy As Pt
2 1 3 12
direct
0.1016 0.1016 0.1016 Sr
0.8984 0.8984 0.8984 Sr
0.5000 0.5000 0.5000 Dy
0.0000 0.5000 0.5000 As
0.5000 0.0000 0.5000 As
0.5000 0.5000 0.0000 As
0.1109 0.6393 0.6393 Pt
0.1512 0.1512 0.6023 Pt
0.1512 0.6023 0.1512 Pt
0.3607 0.3607 0.8891 Pt
0.3607 0.8891 0.3607 Pt
0.3977 0.8488 0.8488 Pt
0.6023 0.1512 0.1512 Pt
0.6393 0.1109 0.6393 Pt
0.6393 0.6393 0.1109 Pt
0.8488 0.3977 0.8488 Pt
0.8488 0.8488 0.3977 Pt
0.8891 0.3607 0.3607 Pt
```



# 2
Starting from a crystal structure in Alexandria, relaxed with PBE, the PXRD pattern of Sr2DyAs3Pt4 was computed for λ = 1.5418 Å (Cu Kα).

Peak list (8 most intense, 10 to 90 degrees two-theta, by angle)
| 2θ/deg | d/Å | I (rel.) |
| --- | --- | --- |
| 21.73 | 4.090 | 23 |
| 32.95 | 2.718 | 100 |
| 41.12 | 2.195 | 57 |
| 43.41 | 2.085 | 45 |
| 45.28 | 2.003 | 18 |
| 59.55 | 1.552 | 19 |
| 69.76 | 1.348 | 23 |
| 76.51 | 1.245 | 18 |

Structure:
```
Sr2DyAs3Pt4
1.0
4.3908 0.0000 0.0000
0.0000 4.3908 0.0000
0.0000 0.0000 11.2527
Sr Dy As Pt
2 1 3 4
direct
0.0000 0.5000 0.2256 Sr
0.5000 0.0000 0.7744 Sr
0.0000 0.0000 0.5000 Dy
0.0000 0.5000 0.8780 As
0.5000 0.0000 0.1220 As
0.5000 0.5000 0.5000 As
0.0000 0.0000 0.0000 Pt
0.0000 0.5000 0.6558 Pt
0.5000 0.0000 0.3442 Pt
0.5000 0.5000 0.0000 Pt
```



# 3
Starting from a crystal structure in Alexandria, relaxed with PBE, the PXRD pattern of DyPuSc2As4 was computed for λ = 1.5418 Å (Cu Kα).

Peak list (8 most intense, 10 to 90 degrees two-theta, by angle)
| 2θ/deg | d/Å | I (rel.) |
| --- | --- | --- |
| 13.60 | 6.513 | 29 |
| 26.06 | 3.419 | 26 |
| 31.61 | 2.830 | 100 |
| 34.55 | 2.596 | 16 |
| 45.22 | 2.005 | 37 |
| 45.41 | 1.997 | 36 |
| 56.22 | 1.636 | 19 |
| 75.18 | 1.264 | 16 |

Structure:
```
DyPuSc2As4
1.0
6.9078 0.0000 0.0000
0.0000 4.0150 0.0000
-2.3185 0.0000 6.5398
Dy Pu Sc As
1 1 2 4
direct
0.0000 0.0000 0.0000 Dy
0.0000 0.5000 0.5000 Pu
0.5000 0.0000 0.5000 Sc
0.5000 0.5000 0.0000 Sc
0.2643 0.0000 0.7540 As
0.2645 0.5000 0.2556 As
0.7355 0.5000 0.7444 As
0.7357 0.0000 0.2460 As
```



# 4
Starting from a crystal structure in Alexandria, relaxed with PBE, the PXRD pattern of Tb2DyPuAs4 was computed for λ = 1.5418 Å (Cu Kα).

Peak list (8 most intense, 10 to 90 degrees two-theta, by angle)
| 2θ/deg | d/Å | I (rel.) |
| --- | --- | --- |
| 26.43 | 3.373 | 29 |
| 30.61 | 2.921 | 100 |
| 43.74 | 2.070 | 13 |
| 43.85 | 2.065 | 62 |
| 54.35 | 1.688 | 13 |
| 54.46 | 1.685 | 13 |
| 72.36 | 1.306 | 28 |
| 80.61 | 1.192 | 15 |

Structure:
```
Tb2DyPuAs4
1.0
7.1468 0.0000 0.0000
0.0000 4.1391 0.0000
-2.3812 0.0000 6.7399
Tb Dy Pu As
2 1 1 4
direct
0.0000 0.0000 0.0000 Tb
0.5000 0.5000 0.0000 Tb
0.0000 0.5000 0.5000 Dy
0.5000 0.0000 0.5000 Pu
0.2502 0.0000 0.7481 As
0.2516 0.5000 0.2525 As
0.7484 0.5000 0.7475 As
0.7498 0.0000 0.2519 As
```



# 5
Starting from a crystal structure in Alexandria, relaxed with PBE, the PXRD pattern of DyAs2Rh3 was computed for λ = 1.5418 Å (Cu Kα).

Peak list (8 most intense, 10 to 90 degrees two-theta, by angle)
| 2θ/deg | d/Å | I (rel.) |
| --- | --- | --- |
| 31.05 | 2.880 | 16 |
| 31.48 | 2.842 | 18 |
| 35.53 | 2.526 | 100 |
| 37.00 | 2.430 | 19 |
| 40.09 | 2.249 | 19 |
| 43.53 | 2.079 | 24 |
| 44.97 | 2.016 | 16 |
| 45.58 | 1.990 | 39 |

Structure:
```
DyAs2Rh3
1.0
8.2013 -1.9902 0.0000
8.2013 1.9902 0.0000
-3.0017 0.0000 9.3877
Dy As Rh
3 6 9
direct
0.0000 0.0000 0.0000 Dy
0.1562 0.1562 0.6959 Dy
0.8438 0.8438 0.3041 Dy
0.1948 0.1948 0.1291 As
0.3623 0.3623 0.5449 As
0.4586 0.4586 0.2189 As
0.5414 0.5414 0.7811 As
0.6377 0.6377 0.4551 As
0.8052 0.8052 0.8709 As
0.0402 0.0402 0.3258 Rh
0.2194 0.2194 0.3918 Rh
0.3196 0.3196 0.0433 Rh
0.3791 0.3791 0.7990 Rh
0.5000 0.5000 0.5000 Rh
0.6209 0.6209 0.2010 Rh
0.6804 0.6804 0.9567 Rh
0.7806 0.7806 0.6082 Rh
0.9598 0.9598 0.6742 Rh
```



# 6
Starting from a crystal structure in Alexandria, relaxed with PBE, the PXRD pattern of DyAsRh2 was computed for λ = 1.5418 Å (Cu Kα).

Peak list (8 most intense, 10 to 90 degrees two-theta, by angle)
| 2θ/deg | d/Å | I (rel.) |
| --- | --- | --- |
| 32.31 | 2.771 | 73 |
| 33.68 | 2.661 | 88 |
| 36.38 | 2.470 | 100 |
| 37.54 | 2.396 | 91 |
| 44.46 | 2.038 | 84 |
| 46.34 | 1.959 | 95 |
| 60.30 | 1.535 | 46 |
| 66.16 | 1.412 | 51 |

Structure:
```
DyAsRh2
1.0
3.9185 0.0000 0.0000
0.0000 3.9185 0.0000
0.0000 0.0000 9.5435
Dy As Rh
2 2 4
direct
0.2500 0.2500 0.2083 Dy
0.7500 0.7500 0.7917 Dy
0.2500 0.2500 0.6583 As
0.7500 0.7500 0.3417 As
0.2500 0.2500 0.9111 Rh
0.2500 0.7500 0.5000 Rh
0.7500 0.2500 0.5000 Rh
0.7500 0.7500 0.0889 Rh
```



# 7
Starting from a crystal structure in Alexandria, relaxed with PBE, the PXRD pattern of DyTmAs2Rh5 was computed for λ = 1.5418 Å (Cu Kα).

Peak list (8 most intense, 10 to 90 degrees two-theta, by angle)
| 2θ/deg | d/Å | I (rel.) |
| --- | --- | --- |
| 29.40 | 3.038 | 18 |
| 36.42 | 2.467 | 100 |
| 42.79 | 2.113 | 50 |
| 43.37 | 2.086 | 13 |
| 60.99 | 1.519 | 16 |
| 62.11 | 1.494 | 16 |
| 72.13 | 1.310 | 16 |
| 74.19 | 1.278 | 24 |

Structure:
```
DyTmAs2Rh5
1.0
4.2266 0.0000 0.0000
0.0000 4.2266 0.0000
0.0000 0.0000 8.7408
Dy Tm As Rh
1 1 2 5
direct
0.0000 0.0000 0.0000 Dy
0.0000 0.0000 0.5000 Tm
0.5000 0.5000 0.3553 As
0.5000 0.5000 0.6447 As
0.0000 0.5000 0.2334 Rh
0.0000 0.5000 0.7666 Rh
0.5000 0.0000 0.2334 Rh
0.5000 0.0000 0.7666 Rh
0.5000 0.5000 0.0000 Rh
```



# 8
Starting from a crystal structure in Alexandria, relaxed with PBE, the PXRD pattern of DyAs4Ru4 was computed for λ = 1.5418 Å (Cu Kα).

Peak list (8 most intense, 10 to 90 degrees two-theta, by angle)
| 2θ/deg | d/Å | I (rel.) |
| --- | --- | --- |
| 30.20 | 2.959 | 14 |
| 34.15 | 2.625 | 100 |
| 36.64 | 2.452 | 38 |
| 41.08 | 2.197 | 26 |
| 44.77 | 2.024 | 37 |
| 56.22 | 1.636 | 18 |
| 59.50 | 1.554 | 20 |
| 84.91 | 1.142 | 14 |

Structure:
```
DyAs4Ru4
1.0
6.2142 0.0000 0.0000
0.0000 6.2142 0.0000
0.0000 0.0000 8.0059
Dy As Ru
2 8 8
direct
0.2500 0.7500 0.2500 Dy
0.7500 0.2500 0.7500 Dy
0.0237 0.2500 0.0565 As
0.2500 0.0237 0.5565 As
0.2500 0.4763 0.5565 As
0.4763 0.2500 0.0565 As
0.5237 0.7500 0.9435 As
0.7500 0.5237 0.4435 As
0.7500 0.9763 0.4435 As
0.9763 0.7500 0.9435 As
0.0283 0.2500 0.3574 Ru
0.2500 0.0283 0.8574 Ru
0.2500 0.4717 0.8574 Ru
0.4717 0.2500 0.3574 Ru
0.5283 0.7500 0.6426 Ru
0.7500 0.5283 0.1426 Ru
0.7500 0.9717 0.1426 Ru
0.9717 0.7500 0.6426 Ru
```



# 9
Starting from a crystal structure in Alexandria, relaxed with PBE, the PXRD pattern of Dy5As4S was computed for λ = 1.5418 Å (Cu Kα).

Peak list (8 most intense, 10 to 90 degrees two-theta, by angle)
| 2θ/deg | d/Å | I (rel.) |
| --- | --- | --- |
| 26.76 | 3.332 | 31 |
| 30.99 | 2.885 | 100 |
| 44.40 | 2.040 | 74 |
| 52.60 | 1.740 | 15 |
| 55.13 | 1.666 | 26 |
| 64.60 | 1.443 | 12 |
| 73.37 | 1.290 | 33 |
| 81.76 | 1.178 | 25 |

Structure:
```
Dy5As4S
1.0
-4.5612 4.5612 2.8868
4.5612 -4.5612 2.8868
4.5612 4.5612 -2.8868
Dy As S
5 4 1
direct
0.0000 0.0000 0.0000 Dy
0.2004 0.6004 0.8008 Dy
0.3996 0.2004 0.6000 Dy
0.6004 0.7996 0.4000 Dy
0.7996 0.3996 0.1992 Dy
0.0993 0.2989 0.3983 As
0.2989 0.9007 0.1996 As
0.7011 0.0993 0.8004 As
0.9007 0.7011 0.6017 As
0.5000 0.5000 0.0000 S
```



# 10
Starting from a crystal structure in Alexandria, relaxed with PBE, the PXRD pattern of Dy3TeAsS was computed for λ = 1.5418 Å (Cu Kα).

Peak list (8 most intense, 10 to 90 degrees two-theta, by angle)
| 2θ/deg | d/Å | I (rel.) |
| --- | --- | --- |
| 22.88 | 3.886 | 26 |
| 24.51 | 3.632 | 40 |
| 28.82 | 3.097 | 45 |
| 30.09 | 2.970 | 100 |
| 32.49 | 2.756 | 60 |
| 37.11 | 2.422 | 33 |
| 37.19 | 2.418 | 32 |
| 50.20 | 1.817 | 27 |

Structure:
```
Dy3TeAsS
1.0
3.4211 -7.2530 0.0000
3.4211 7.2530 0.0000
-2.0627 0.0000 6.4992
Dy Te As S
6 2 2 2
direct
0.1793 0.3143 0.0011 Dy
0.2456 0.7544 0.7500 Dy
0.3143 0.1793 0.5011 Dy
0.6857 0.8207 0.4989 Dy
0.7544 0.2456 0.2500 Dy
0.8207 0.6857 0.9989 Dy
0.2498 0.7502 0.2500 Te
0.7502 0.2498 0.7500 Te
0.4340 0.5660 0.7500 As
0.5660 0.4340 0.2500 As
0.0591 0.9409 0.7500 S
0.9409 0.0591 0.2500 S
```



# 11
Starting from a crystal structure in Alexandria, relaxed with PBE, the PXRD pattern of DyZnAsS was computed for λ = 1.5418 Å (Cu Kα).

Peak list (8 most intense, 10 to 90 degrees two-theta, by angle)
| 2θ/deg | d/Å | I (rel.) |
| --- | --- | --- |
| 26.22 | 3.399 | 100 |
| 27.44 | 3.251 | 32 |
| 32.19 | 2.781 | 26 |
| 36.14 | 2.485 | 78 |
| 42.06 | 2.148 | 80 |
| 45.16 | 2.008 | 33 |
| 53.92 | 1.700 | 23 |
| 56.63 | 1.625 | 21 |

Structure:
```
DyZnAsS
1.0
2.1484 1.2404 11.1311
-2.1484 1.2404 11.1311
0.0000 -2.4808 11.1311
Dy Zn As S
2 2 2 2
direct
0.1092 0.1092 0.1092 Dy
0.8908 0.8908 0.8908 Dy
0.3057 0.3057 0.3057 Zn
0.6943 0.6943 0.6943 Zn
0.3837 0.3837 0.3837 As
0.6163 0.6163 0.6163 As
0.1971 0.1971 0.1971 S
0.8029 0.8029 0.8029 S
```



# 12
Starting from a crystal structure in Alexandria, relaxed with PBE, the PXRD pattern of Dy6SbAs5 was computed for λ = 1.5418 Å (Cu Kα).

Peak list (8 most intense, 10 to 90 degrees two-theta, by angle)
| 2θ/deg | d/Å | I (rel.) |
| --- | --- | --- |
| 26.21 | 3.400 | 13 |
| 30.35 | 2.945 | 100 |
| 43.46 | 2.082 | 74 |
| 53.93 | 1.700 | 26 |
| 63.14 | 1.472 | 12 |
| 71.65 | 1.317 | 27 |
| 79.73 | 1.203 | 14 |
| 79.81 | 1.202 | 10 |

Structure:
```
Dy6SbAs5
1.0
3.6101 -6.2464 0.0000
3.6101 6.2464 0.0000
-2.4082 0.0000 6.7957
Dy Sb As
6 1 5
direct
0.0706 0.4147 0.7444 Dy
0.2408 0.2408 0.2546 Dy
0.4147 0.0706 0.7444 Dy
0.5853 0.9294 0.2556 Dy
0.7592 0.7592 0.7454 Dy
0.9294 0.5853 0.2556 Dy
0.5000 0.5000 0.0000 Sb
0.0000 0.0000 0.5000 As
0.1669 0.8331 0.0000 As
0.3361 0.6639 0.5000 As
0.6639 0.3361 0.5000 As
0.8331 0.1669 0.0000 As
```



- What is the formula in the seventh record?
  DyTmAs2Rh5